# 1
For AgBH8C11N2OF4, a crystal structure in OQMD, relaxed with GGA-PBE gives the simulated PXRD pattern in this record (Cu Ka).

Cell: 7.100 7.849 10.585 Å, 104.76 92.60 110.74°
Element x y z (fractional)
Ag 0.060 0.408 0.237
Ag 0.940 0.592 0.763
B 0.064 0.098 0.708
B 0.936 0.902 0.292
H 0.088 0.310 0.496
H 0.139 0.991 0.967
H 0.183 0.466 0.933
H 0.293 0.457 0.721
H 0.368 0.056 0.406
H 0.412 0.780 0.376
H 0.432 0.050 0.752
H 0.453 0.604 0.128
H 0.547 0.396 0.872
H 0.568 0.950 0.248
H 0.588 0.220 0.624
H 0.632 0.944 0.594
H 0.707 0.543 0.279
H 0.817 0.534 0.067
H 0.861 0.009 0.033
H 0.912 0.690 0.504
C 0.206 0.452 0.523
C 0.206 0.907 0.007
C 0.234 0.616 0.988
C 0.319 0.535 0.648
C 0.351 0.994 0.122
C 0.384 0.694 0.098
C 0.387 0.716 0.456
C 0.405 0.198 0.189
C 0.445 0.886 0.165
C 0.471 0.717 0.678
C 0.493 0.192 0.421
C 0.507 0.808 0.579
C 0.529 0.283 0.322
C 0.555 0.114 0.835
C 0.595 0.802 0.811
C 0.613 0.284 0.544
C 0.616 0.306 0.902
C 0.649 0.006 0.878
C 0.681 0.465 0.352
C 0.766 0.384 0.012
C 0.794 0.093 0.993
C 0.794 0.548 0.477
N 0.150 0.722 0.942
N 0.239 0.542 0.428
N 0.761 0.458 0.572
N 0.850 0.278 0.058
O 0.352 0.300 0.135
O 0.648 0.700 0.865
F 0.055 0.092 0.295
F 0.065 0.815 0.329
F 0.164 0.200 0.839
F 0.209 0.097 0.622
F 0.791 0.903 0.378
F 0.836 0.800 0.161
F 0.935 0.185 0.671
F 0.945 0.908 0.705

Largest 10 diffraction maxima, in order of rising 2θ, 15 to 90 degrees two-theta:
d (Å)  intensity  index
5.060  76  0 0 2
4.972  44  -1 1 1
3.796  72  1 -2 1
3.745  95  1 0 2
3.686  98  1 1 -2
3.664  89  0 2 -1
3.349  100  -2 1 1
2.964  95  2 0 -2
2.824  65  -2 2 1
2.252  45  1 0 4

***

# 2
For CoCuAgB, a crystal structure in OQMD, relaxed with GGA-PBE gives the simulated PXRD pattern in this record (Cu Ka).

Cell: 5.717 5.717 5.717 Å, 90.00 90.00 90.00°
Element x y z (fractional)
Co 0.000 0.000 0.000
Co 0.000 0.500 0.500
Co 0.500 0.000 0.500
Co 0.500 0.500 0.000
Cu 0.000 0.000 0.500
Cu 0.000 0.500 0.000
Cu 0.500 0.000 0.000
Cu 0.500 0.500 0.500
Ag 0.250 0.250 0.250
Ag 0.250 0.750 0.750
Ag 0.750 0.250 0.750
Ag 0.750 0.750 0.250
B 0.250 0.250 0.750
B 0.250 0.750 0.250
B 0.750 0.250 0.250
B 0.750 0.750 0.750

Largest 7 diffraction maxima, in order of rising 2θ, 15 to 90 degrees two-theta:
d (Å)  intensity  index
3.301  47  1 1 1
2.021  100  2 2 0
1.724  21  3 1 1
1.429  15  4 0 0
1.312  8  3 3 1
1.167  30  4 2 2
1.100  6  5 1 1

***

# 3
For CsAg2BO3, a crystal structure in OQMD, relaxed with GGA-PBE gives the simulated PXRD pattern in this record (Cu Ka).

Cell: 5.776 6.391 5.810 Å, 90.00 90.00 90.00°
Element x y z (fractional)
Cs 0.250 0.250 0.137
Cs 0.750 0.750 0.863
Ag 0.250 0.520 0.647
Ag 0.250 0.980 0.647
Ag 0.750 0.020 0.353
Ag 0.750 0.480 0.353
B 0.250 0.750 0.215
B 0.750 0.250 0.785
O 0.043 0.750 0.344
O 0.250 0.750 0.980
O 0.457 0.750 0.344
O 0.543 0.250 0.656
O 0.750 0.250 0.020
O 0.957 0.250 0.656

Largest 10 diffraction maxima, in order of rising 2θ, 15 to 90 degrees two-theta:
d (Å)  intensity  index
4.294  27  0 1 1
3.449  22  1 1 1
2.888  56  2 0 0
2.800  39  0 2 1
2.595  76  1 0 2
2.519  100  1 2 1
2.397  20  2 1 1
2.010  38  2 2 1
1.605  19  3 0 2
1.437  22  2 2 3